Structure and calculated X-ray powder pattern of Cu2AuCl6 (DFT lattice parameters and positions (PBE); Cu Kα X-rays).
Neutral-atom scattering factors, no anomalous dispersion.

Structural model:
Lattice parameters (Å, degrees): 7.9956 7.9956 7.3843 90.51 90.51 82.29
Element x y z (fractional)
Cu  0.1332  0.2292  0.1893
Cu  0.2292  0.1332  0.6893
Cu  0.7708  0.8668  0.3107
Cu  0.8668  0.7708  0.8107
Au  0.3850  0.6150  0.7500
Au  0.6150  0.3850  0.2500
Cl  0.0432  0.2332  0.9014
Cl  0.1027  0.6447  0.6474
Cl  0.2332  0.0432  0.4014
Cl  0.3283  0.4236  0.1609
Cl  0.3553  0.8973  0.8526
Cl  0.4236  0.3283  0.6609
Cl  0.5764  0.6717  0.3391
Cl  0.6447  0.1027  0.1474
Cl  0.6717  0.5764  0.8391
Cl  0.7668  0.9568  0.5986
Cl  0.8973  0.3553  0.3526
Cl  0.9568  0.7668  0.0986

Peak list (8 most intense, 10° ≤ 2θ ≤ 80°, by angle)
- 2θ 11.17, d = 7.923 Å, rel. 57
- 2θ 16.35, d = 5.423 Å, rel. 58
- 2θ 16.47, d = 5.381 Å, rel. 87
- 2θ 23.73, d = 3.750 Å, rel. 100
- 2θ 24.11, d = 3.692 Å, rel. 63
- 2θ 25.43, d = 3.502 Å, rel. 81
- 2θ 26.55, d = 3.358 Å, rel. 58
- 2θ 45.72, d = 1.984 Å, rel. 50

***

Structure and calculated X-ray powder pattern of CuPAuCl2 (DFT lattice parameters and positions (PBE); Cu Kα X-rays).
Neutral-atom scattering factors, no anomalous dispersion.

Structural model:
Lattice parameters (Å, degrees): 5.1594 5.1594 4.7485 90.00 90.00 90.00
Element x y z (fractional)
Cu  0.0000  0.0000  0.0000
P  0.5000  0.5000  0.0000
Au  0.5000  0.5000  0.5000
Cl  0.0000  0.5000  0.5000
Cl  0.5000  0.0000  0.5000

Peak list (8 most intense, 10° ≤ 2θ ≤ 80°, by angle)
- 2θ 17.19, d = 5.159 Å, rel. 58
- 2θ 18.69, d = 4.748 Å, rel. 27
- 2θ 24.40, d = 3.648 Å, rel. 50
- 2θ 25.49, d = 3.494 Å, rel. 100
- 2θ 34.78, d = 2.580 Å, rel. 56
- 2θ 37.90, d = 2.374 Å, rel. 22
- 2θ 43.61, d = 2.075 Å, rel. 50
- 2θ 52.37, d = 1.747 Å, rel. 33

***

Structure and calculated X-ray powder pattern of FeAu2Cl (DFT lattice parameters and positions (PBE); Cu Kα X-rays).
Neutral-atom scattering factors, no anomalous dispersion.

Structural model:
Lattice parameters (Å, degrees): 9.1517 3.0018 6.6363 90.00 96.27 90.00
Element x y z (fractional)
Fe  0.0000  0.0000  0.0000
Fe  0.5000  0.5000  0.0000
Au  0.0269  0.5000  0.6669
Au  0.2670  0.0000  0.8560
Au  0.5269  0.0000  0.6669
Au  0.7670  0.5000  0.8560
Cl  0.0544  0.5000  0.2675
Cl  0.5544  0.0000  0.2675

Peak list (8 most intense, 10° ≤ 2θ ≤ 80°, by angle)
- 2θ 13.42, d = 6.597 Å, rel. 100
- 2θ 31.38, d = 2.851 Å, rel. 19
- 2θ 31.72, d = 2.821 Å, rel. 24
- 2θ 34.71, d = 2.585 Å, rel. 40
- 2θ 39.63, d = 2.274 Å, rel. 18
- 2θ 42.62, d = 2.121 Å, rel. 27
- 2θ 43.55, d = 2.078 Å, rel. 31
- 2θ 49.04, d = 1.858 Å, rel. 16

***

Structure and calculated X-ray powder pattern of LiGa2AuCl (DFT lattice parameters and positions (PBE); Cu Kα X-rays).
Neutral-atom scattering factors, no anomalous dispersion.

Structural model:
Lattice parameters (Å, degrees): 5.3107 5.3107 5.1429 90.00 90.00 90.00
Element x y z (fractional)
Li  0.0000  0.0000  0.0000
Ga  0.0000  0.5000  0.5000
Ga  0.5000  0.0000  0.5000
Au  0.5000  0.5000  0.0000
Cl  0.5000  0.5000  0.5000

Peak list (8 most intense, 10° ≤ 2θ ≤ 80°, by angle)
- 2θ 16.69, d = 5.311 Å, rel. 100
- 2θ 24.09, d = 3.694 Å, rel. 38
- 2θ 29.45, d = 3.033 Å, rel. 97
- 2θ 33.76, d = 2.655 Å, rel. 51
- 2θ 37.88, d = 2.375 Å, rel. 26
- 2θ 38.91, d = 2.314 Å, rel. 24
- 2θ 49.33, d = 1.847 Å, rel. 35
- 2θ 57.75, d = 1.596 Å, rel. 30